# 1
Diffraction record for CoSbP. The XRD peak list is simulated, not measured: it uses the PBE geometry in Alexandria and CuKα.
Neutral-atom scattering factors, no anomalous dispersion.

The 12 most intense peaks (10° ≤ 2θ ≤ 90°), low angle first:
- hkl 1 0 2, d = 4.043 Å, rel. 195
- hkl 0 2 0, d = 3.004 Å, rel. 269
- hkl 1 1 3, d = 2.771 Å, rel. 479
- hkl 0 0 4, d = 2.748 Å, rel. 183
- hkl 0 2 2, d = 2.636 Å, rel. 314
- hkl 2 1 1, d = 2.597 Å, rel. 1000
- hkl 1 0 4, d = 2.496 Å, rel. 386
- hkl 1 2 2, d = 2.411 Å, rel. 426
- hkl 1 1 5, d = 1.951 Å, rel. 400
- hkl 1 3 1, d = 1.871 Å, rel. 199
- hkl 1 3 3, d = 1.686 Å, rel. 187
- hkl 3 1 3, d = 1.679 Å, rel. 185

Atomic structure:
Lattice parameters (Å, degrees): 5.969 6.008 10.992 90.00 90.00 90.00
Space group Pbca (No. 61)
Asymmetric unit:
Co  0.015  0.117  0.101 x8
Sb  0.120  0.003  0.324 x8
P  0.150  0.725  0.569 x8

# 2
Diffraction record for CoSb4P. The XRD peak list is simulated, not measured: it uses the PBE geometry in Alexandria and CuKα.
Neutral-atom scattering factors, no anomalous dispersion.

The 12 most intense peaks (10° ≤ 2θ ≤ 90°), low angle first:
- hkl 1 1 1, d = 4.948 Å, rel. 559
- hkl 2 2 0, d = 3.030 Å, rel. 72
- hkl 3 1 1, d = 2.584 Å, rel. 1000
- hkl 2 2 2, d = 2.474 Å, rel. 728
- hkl 4 0 0, d = 2.142 Å, rel. 234
- hkl 3 3 1, d = 1.966 Å, rel. 150
- hkl 5 1 1, d = 1.649 Å, rel. 329
- hkl 4 4 0, d = 1.515 Å, rel. 325
- hkl 5 3 1, d = 1.449 Å, rel. 111
- hkl 5 3 3, d = 1.307 Å, rel. 112
- hkl 6 2 2, d = 1.292 Å, rel. 272
- hkl 7 3 1, d = 1.116 Å, rel. 208

Atomic structure:
Lattice parameters (Å, degrees): 8.570 8.570 8.570 90.00 90.00 90.00
Space group F-43m (No. 216)
Asymmetric unit:
Co  0.000  0.000  0.000 x4
Sb  0.125  0.125  0.375 x16
P  0.250  0.250  0.750 x4

# 3
Diffraction record for CoSb2P. The XRD peak list is simulated, not measured: it uses the PBE geometry in Alexandria and CuKα.
Neutral-atom scattering factors, no anomalous dispersion.

The 12 most intense peaks (10° ≤ 2θ ≤ 90°), low angle first:
- hkl 0 1 1, d = 4.504 Å, rel. 283
- hkl 0 1 3, d = 2.684 Å, rel. 426
- hkl 1 0 2, d = 2.663 Å, rel. 1000
- hkl 1 1 1, d = 2.621 Å, rel. 391
- hkl 0 2 0, d = 2.562 Å, rel. 525
- hkl 0 0 4, d = 2.363 Å, rel. 239
- hkl 1 2 2, d = 1.846 Å, rel. 659
- hkl 0 2 4, d = 1.737 Å, rel. 183
- hkl 2 0 0, d = 1.611 Å, rel. 122
- hkl 1 1 5, d = 1.554 Å, rel. 186
- hkl 2 2 0, d = 1.364 Å, rel. 138
- hkl 1 4 2, d = 1.154 Å, rel. 138

Atomic structure:
Lattice parameters (Å, degrees): 3.223 5.123 9.453 90.00 90.00 90.00
Space group Amm2 (No. 38)
Asymmetric unit:
Co  0.000  0.000  0.000 x2
Sb  0.000  0.000  0.487 x2
Sb  0.500  0.000  0.776 x2
P  0.500  0.000  0.159 x2

# 4
Diffraction record for ScCo3P. The XRD peak list is simulated, not measured: it uses the PBE geometry in Alexandria and CuKα.
Neutral-atom scattering factors, no anomalous dispersion.

The 10 most intense peaks (10° ≤ 2θ ≤ 90°), low angle first:
- hkl 1 0 0, d = 4.144 Å, rel. 196
- hkl 1 1 0, d = 2.931 Å, rel. 13
- hkl 1 1 1, d = 2.393 Å, rel. 1000
- hkl 2 0 0, d = 2.072 Å, rel. 809
- hkl 2 1 0, d = 1.853 Å, rel. 77
- hkl 2 2 0, d = 1.465 Å, rel. 485
- hkl 3 0 0, d = 1.381 Å, rel. 35
- hkl 3 1 1, d = 1.250 Å, rel. 313
- hkl 2 2 2, d = 1.196 Å, rel. 158
- hkl 3 2 0, d = 1.149 Å, rel. 16

Atomic structure:
Lattice parameters (Å, degrees): 4.144 4.144 4.144 90.00 90.00 90.00
Space group Pm-3m (No. 221)
Asymmetric unit:
Sc  0.000  0.000  0.000 x1
Co  0.000  0.500  0.500 x3
P  0.500  0.500  0.500 x1